Diffraction record for Tb5HoTh. The PXRD pattern is calculated, not measured: it uses a structure optimized by DFT (GGA-PBE) and CuKα.
No peak broadening, texture or thermal motion is included.

Principal peaks in the range 2θ = 10–80°, in order of rising 2θ:
2θ (°), I (rel.)
23.67, 18
27.74, 18
30.55, 45
31.25, 35
31.49, 21
32.06, 100
32.36, 13
32.58, 36
34.58, 24
36.03, 26
41.40, 12
49.10, 12

Structure:
Cell lengths 6.129, 17.560, 8.660 Å; angles 90.00, 101.59, 90.00 degrees
Space group C2/c (No. 15)
Asymmetric unit:
Tb1 0.000 0.148 0.250
Tb2 0.115 0.346 0.963
Tb3 0.200 0.186 0.645
Ho1 0.000 0.487 0.250
Th1 0.000 0.000 0.000